Starting from a DFT-relaxed cell (GGA-PBE, OQMD), the powder diffractogram of Nd2Sm2C2IBr2Cl2 was calculated for a wavelength of 1.5418 Å.
Neutral-atom scattering factors, no anomalous dispersion.

Atomic structure:
```
data_Nd2Sm2C2IBr2Cl2
_chemical_formula_sum 'Nd2 Sm2 C2 I1 Br2 Cl2'
_symmetry_space_group_name_H-M 'P 1'
_symmetry_Int_Tables_number 1
_symmetry_space_group_name_Hall 'P 1'
_cell_length_a 9.844
_cell_length_b 9.844
_cell_length_c 8.461
_cell_angle_alpha 105.29
_cell_angle_beta 105.29
_cell_angle_gamma 22.96
loop_
_atom_site_label
_atom_site_type_symbol
_atom_site_fract_x
_atom_site_fract_y
_atom_site_fract_z
Nd1 Nd 0.159 0.159 0.107
Nd2 Nd 0.841 0.841 0.893
Sm1 Sm 0.498 0.498 0.808
Sm2 Sm 0.502 0.502 0.192
C1 C 0.038 0.038 0.024
C2 C 0.962 0.962 0.976
I1 I 0.000 0.000 0.500
Br1 Br 0.334 0.334 0.161
Br2 Br 0.666 0.666 0.839
Cl1 Cl 0.343 0.343 0.652
Cl2 Cl 0.657 0.657 0.348
```

Main lines, sorted by position (10° ≤ 2θ ≤ 80°):
| Position (°2θ) | I/Imax |
| --- | --- |
| 10.86 | 57 |
| 26.22 | 23 |
| 27.58 | 26 |
| 28.83 | 69 |
| 30.57 | 22 |
| 31.13 | 100 |
| 32.93 | 41 |
| 42.14 | 35 |
| 43.72 | 39 |
| 46.33 | 22 |